# CrP2O7
Simulated PXRD pattern, Cu Kα (weighted mean of Kα1 and Kα2). Input: a cell relaxed with GGA+U.
Intensities are scaled so that the largest is 100.

Cell and atoms:
Unit cell a=7.0520 b=8.1968 c=9.0295 alpha=90.00 beta=114.72 gamma=90.00
Space group P2_1/c (No. 14)
Unique sites:
1 Cr 0.2352 0.0855 0.1126
2 P 0.0689 0.7298 0.7472
3 P 0.4633 0.7400 0.0389
4 O 0.0151 0.5831 0.6228
5 O 0.0992 0.2476 0.1888
6 O 0.1157 0.6152 0.1800
7 O 0.2661 0.6557 0.8955
8 O 0.3716 0.2343 0.0276
9 O 0.3908 0.5996 0.5834
10 O 0.4675 0.1085 0.3305

Principal peaks in the range 2θ from 10° to 90°, in order of rising 2θ:
hkl 0 1 1, d = 5.798 Å, intensity 74
hkl 1 1 -1, d = 5.116 Å, intensity 81
hkl 0 2 0, d = 4.098 Å, intensity 37
hkl 1 2 -1, d = 3.474 Å, intensity 45
hkl 2 1 -2, d = 3.041 Å, intensity 87
hkl 1 2 -2, d = 2.994 Å, intensity 85
hkl 1 0 2, d = 2.940 Å, intensity 100
hkl 3 3 -4, d = 1.581 Å, intensity 25



# CrPO4
Simulated PXRD pattern, Cu Kα (weighted mean of Kα1 and Kα2). Input: a cell relaxed with GGA+U.
Intensities are scaled so that the largest is 100.

Cell and atoms:
Unit cell a=5.3310 b=11.6121 c=9.2296 alpha=90.00 beta=90.00 gamma=90.00
Space group Fdd2 (No. 43)
Unique sites:
1 Cr 0.0000 0.0000 0.0000
2 P 0.0000 0.0000 0.3139
3 O 0.0441 0.1934 0.6561
4 O 0.1102 0.0898 0.2043

Principal peaks in the range 2θ from 10° to 90°, in order of rising 2θ:
hkl 1 1 1, d = 4.290 Å, intensity 100
hkl 0 2 2, d = 3.613 Å, intensity 39
hkl 1 3 1, d = 2.966 Å, intensity 42
hkl 0 4 0, d = 2.903 Å, intensity 21
hkl 1 1 3, d = 2.597 Å, intensity 53
hkl 2 2 0, d = 2.422 Å, intensity 23
hkl 1 5 3, d = 1.751 Å, intensity 31
hkl 2 2 4, d = 1.671 Å, intensity 19



# CrPO10
Simulated PXRD pattern, Cu Kα (weighted mean of Kα1 and Kα2). Input: a cell relaxed with GGA+U.
Intensities are scaled so that the largest is 100.

Cell and atoms:
Unit cell a=10.0871 b=7.5402 c=24.9462 alpha=90.00 beta=92.32 gamma=90.00
Space group Cc (No. 9)
Unique sites:
1 Cr 0.0000 0.0391 0.0000
2 Cr 0.0072 0.0858 0.7462
3 P 0.1845 0.4502 0.3828
4 P 0.4091 0.0626 0.6323
5 O 0.0005 0.1897 0.4887
6 O 0.0269 0.4376 0.1733
7 O 0.0332 0.1391 0.9431
8 O 0.0673 0.4532 0.3413
9 O 0.1080 0.1184 0.0506
10 O 0.1231 0.1610 0.5574
11 O 0.1325 0.4986 0.4383
12 O 0.1421 0.0736 0.8175
13 O 0.1660 0.1114 0.2422
14 O 0.1670 0.1656 0.7315
15 O 0.2047 0.0409 0.4826
16 O 0.2454 0.2634 0.3849
17 O 0.2894 0.4122 0.8683
18 O 0.3067 0.0781 0.1481
19 O 0.3423 0.2460 0.6313
20 O 0.3511 0.4061 0.5140
21 O 0.4164 0.4097 0.1919
22 O 0.4478 0.2679 0.2880
23 O 0.4569 0.0168 0.5762
24 O 0.4829 0.3788 0.7778

Principal peaks in the range 2θ from 10° to 90°, in order of rising 2θ:
hkl 1 1 0, d = 6.038 Å, intensity 39
hkl 1 1 -2, d = 5.486 Å, intensity 28
hkl 1 1 2, d = 5.383 Å, intensity 24
hkl 2 0 0, d = 5.039 Å, intensity 24
hkl 1 1 -4, d = 4.390 Å, intensity 100
hkl 1 1 4, d = 4.285 Å, intensity 67
hkl 2 0 -4, d = 3.998 Å, intensity 23
hkl 2 0 4, d = 3.843 Å, intensity 18



# CrP2O7
Simulated PXRD pattern, Cu Kα (weighted mean of Kα1 and Kα2). Input: a cell relaxed with GGA+U.
Intensities are scaled so that the largest is 100.

Cell and atoms:
Unit cell a=5.1167 b=8.2074 c=13.6829 alpha=90.00 beta=106.46 gamma=90.00
Space group P2_1/c (No. 14)
Unique sites:
1 Cr 0.1426 0.1517 0.3671
2 P 0.0483 0.5447 0.3136
3 P 0.2346 0.6992 0.9794
4 O 0.0080 0.1306 0.8404
5 O 0.0278 0.1711 0.4904
6 O 0.1944 0.5645 0.2298
7 O 0.1998 0.6281 0.4188
8 O 0.2270 0.1318 0.2376
9 O 0.2693 0.5679 0.9042
10 O 0.4856 0.7298 0.0675

Principal peaks in the range 2θ from 10° to 90°, in order of rising 2θ:
hkl 0 1 1, d = 6.958 Å, intensity 30
hkl 0 1 2, d = 5.125 Å, intensity 31
hkl 1 0 0, d = 4.907 Å, intensity 90
hkl 1 0 -2, d = 4.605 Å, intensity 100
hkl 0 2 1, d = 3.917 Å, intensity 53
hkl 0 2 2, d = 3.480 Å, intensity 47
hkl 1 1 2, d = 3.207 Å, intensity 25
hkl 1 1 -4, d = 2.961 Å, intensity 21



# CrPO5
Simulated PXRD pattern, Cu Kα (weighted mean of Kα1 and Kα2). Input: a cell relaxed with GGA+U.
Intensities are scaled so that the largest is 100.

Cell and atoms:
Unit cell a=5.9209 b=5.9209 c=5.1430 alpha=90.00 beta=90.00 gamma=90.00
Space group P4/n (No. 85, origin choice 2)
Unique sites:
1 Cr 0.2500 0.2500 0.2333
2 P 0.2500 0.7500 0.5000
3 O 0.0509 0.8208 0.6760
4 O 0.2500 0.2500 0.9268

Principal peaks in the range 2θ from 10° to 90°, in order of rising 2θ:
hkl 0 0 1, d = 5.143 Å, intensity 22
hkl 1 0 1, d = 3.883 Å, intensity 100
hkl 1 1 1, d = 3.247 Å, intensity 57
hkl 2 0 0, d = 2.960 Å, intensity 54
hkl 2 1 1, d = 2.355 Å, intensity 16
hkl 1 1 2, d = 2.191 Å, intensity 18
hkl 3 0 1, d = 1.843 Å, intensity 21
hkl 3 1 2, d = 1.514 Å, intensity 20



# CrPO5
Simulated PXRD pattern, Cu Kα (weighted mean of Kα1 and Kα2). Input: a cell relaxed with GGA+U.
Intensities are scaled so that the largest is 100.

Cell and atoms:
Unit cell a=12.6824 b=5.0425 c=12.8039 alpha=90.00 beta=119.81 gamma=90.00
Space group P2_1/c (No. 14)
Unique sites:
1 Cr 0.0631 0.2322 0.3713
2 Cr 0.4360 0.7365 0.3072
3 P 0.1560 0.7471 0.0634
4 P 0.3445 0.2382 0.9096
5 O 0.0028 0.5166 0.7751
6 O 0.0859 0.6896 0.6297
7 O 0.1241 0.5609 0.4582
8 O 0.1267 0.0418 0.5142
9 O 0.2089 0.2164 0.3593
10 O 0.2923 0.7298 0.6513
11 O 0.3625 0.5513 0.3789
12 O 0.3907 0.0700 0.3477
13 O 0.4108 0.2234 0.5467
14 O 0.4852 0.0212 0.7638

Principal peaks in the range 2θ from 10° to 90°, in order of rising 2θ:
hkl 2 0 0, d = 5.502 Å, intensity 30
hkl 1 0 2, d = 4.191 Å, intensity 35
hkl 3 0 -2, d = 4.155 Å, intensity 32
hkl 1 1 -2, d = 3.961 Å, intensity 62
hkl 2 1 -2, d = 3.727 Å, intensity 100
hkl 1 1 2, d = 3.223 Å, intensity 19
hkl 3 1 -2, d = 3.206 Å, intensity 19
hkl 2 0 2, d = 3.195 Å, intensity 19